Calculated powder diffraction line list of KLi3Nb4O12 for λ = 1.5418 Å (Cu Kα), from the PBE geometry in Alexandria.
Lines closer than 0.1° are merged.

Most intense lines, 10 to 80 degrees two-theta, low angle first:
2θ (°)  intensity
23.02  100.0
32.79  83.4
36.79  7.6
40.45  9.8
47.05  29.0
53.01  40.5
58.53  44.1
68.73  13.9
73.56  14.4
78.26  14.6

Crystal structure
a b c (Å): 6.6906 6.6906 6.6906
angles (deg): 109.47 109.47 109.47
Positions (direct):
1 K 0.0000 0.0000 0.0000
2 Li 0.0000 0.5000 0.5000
3 Li 0.5000 0.0000 0.5000
4 Li 0.5000 0.5000 0.0000
5 Nb 0.0000 0.0000 0.5000
6 Nb 0.0000 0.5000 0.0000
7 Nb 0.5000 0.0000 0.0000
8 Nb 0.5000 0.5000 0.5000
9 O 0.1074 0.3002 0.8073
10 O 0.1927 0.4929 0.3002
11 O 0.1927 0.8926 0.6998
12 O 0.3002 0.1927 0.4929
13 O 0.3002 0.8073 0.1074
14 O 0.4929 0.3002 0.1927
15 O 0.5071 0.6998 0.8073
16 O 0.6998 0.1927 0.8926
17 O 0.6998 0.8073 0.5071
18 O 0.8073 0.1074 0.3002
19 O 0.8073 0.5071 0.6998
20 O 0.8926 0.6998 0.1927

Calculated powder diffraction line list of Tl4BiSb for λ = 1.5418 Å (Cu Kα), from the PBE geometry in Alexandria.
Lines closer than 0.1° are merged.

Most intense lines, 10 to 80 degrees two-theta, low angle first:
2θ (°)  intensity
20.87  22.5
23.57  21.1
31.92  28.5
33.22  100.0
35.16  22.0
38.49  17.6
48.22  18.3
57.71  21.1
61.85  17.0
69.73  11.1

Crystal structure
a b c (Å): 9.5341 9.2479 7.5826
angles (deg): 68.18 64.22 47.59
Positions (direct):
1 Tl 0.0095 0.5061 0.2373
2 Tl 0.2373 0.7470 0.0095
3 Tl 0.2530 0.7627 0.4939
4 Tl 0.4939 0.9905 0.2530
5 Tl 0.5061 0.0095 0.7470
6 Tl 0.7470 0.2373 0.5061
7 Tl 0.7627 0.2530 0.9905
8 Tl 0.9905 0.4939 0.7627
9 Bi 0.3750 0.3750 0.3750
10 Bi 0.6250 0.6250 0.6250
11 Sb 0.1250 0.1250 0.1250
12 Sb 0.8750 0.8750 0.8750

Calculated powder diffraction line list of MgScS for λ = 1.5418 Å (Cu Kα), from the PBE geometry in Alexandria.
Lines closer than 0.1° are merged.

Most intense lines, 10 to 80 degrees two-theta, low angle first:
2θ (°)  intensity
22.67  43.8
23.80  26.6
30.62  15.0
37.03  54.6
37.81  21.9
39.10  100.0
54.95  15.6
55.53  39.1
69.49  14.8
70.85  15.0

Crystal structure
a b c (Å): 7.6175 7.6175 7.6175
angles (deg): 35.20 35.20 35.20
Positions (direct):
1 Mg 0.1680 0.1680 0.1680
2 Mg 0.8320 0.8320 0.8320
3 Sc 0.4070 0.4070 0.4070
4 Sc 0.5930 0.5930 0.5930
5 S 0.2843 0.2843 0.2843
6 S 0.7157 0.7157 0.7157

Calculated powder diffraction line list of Lu4Ge8Pd for λ = 1.5418 Å (Cu Kα), from the PBE geometry in Alexandria.
Lines closer than 0.1° are merged.

Most intense lines, 10 to 80 degrees two-theta, low angle first:
2θ (°)  intensity
25.10  15.6
32.70  12.2
35.29  22.3
35.91  100.0
40.12  13.1
45.14  19.6
46.15  18.4
66.54  12.2
77.26  10.7
78.73  10.2

Crystal structure
a b c (Å): 3.9339 4.0169 16.4304
angles (deg): 90.00 90.00 90.00
Positions (direct):
1 Lu 0.0000 0.0000 0.0000
2 Lu 0.0000 0.5000 0.4772
3 Lu 0.5000 0.0000 0.7885
4 Lu 0.5000 0.5000 0.2774
5 Ge 0.0000 0.0000 0.3210
6 Ge 0.0000 0.0000 0.6132
7 Ge 0.0000 0.5000 0.1355
8 Ge 0.0000 0.5000 0.8596
9 Ge 0.5000 0.0000 0.1423
10 Ge 0.5000 0.0000 0.4245
11 Ge 0.5000 0.5000 0.6124
12 Ge 0.5000 0.5000 0.9590
13 Pd 0.0000 0.5000 0.7117

Calculated powder diffraction line list of Ag5As2Se5 for λ = 1.5418 Å (Cu Kα), from the PBE geometry in Alexandria.
Lines closer than 0.1° are merged.

Most intense lines, 10 to 80 degrees two-theta, low angle first:
2θ (°)  intensity
25.75  67.2
30.37  93.4
31.23  99.0
31.97  89.6
33.59  69.0
35.73  83.1
40.21  74.3
42.74  60.4
45.45  55.1
46.22  100.0

Crystal structure
a b c (Å): 6.9629 6.9629 11.0386
angles (deg): 109.14 109.14 32.76
Positions (direct):
1 Ag 0.0000 0.0000 0.0000
2 Ag 0.1652 0.1652 0.5383
3 Ag 0.2055 0.2055 0.8127
4 Ag 0.7945 0.7945 0.1873
5 Ag 0.8348 0.8348 0.4617
6 As 0.4535 0.4535 0.7152
7 As 0.5465 0.5465 0.2848
8 Se 0.1900 0.1900 0.2852
9 Se 0.3893 0.3893 0.0894
10 Se 0.5000 0.5000 0.5000
11 Se 0.6107 0.6107 0.9106
12 Se 0.8100 0.8100 0.7148

Calculated powder diffraction line list of BaNa2Pb4 for λ = 1.5418 Å (Cu Kα), from the PBE geometry in Alexandria.
Lines closer than 0.1° are merged.

Most intense lines, 10 to 80 degrees two-theta, low angle first:
2θ (°)  intensity
21.33  47.2
27.06  55.5
27.50  63.4
30.34  45.2
34.71  43.3
35.06  100.0
41.10  29.3
41.41  30.9
53.16  31.1
61.57  32.1

Crystal structure
a b c (Å): 6.7504 6.7504 6.7504
angles (deg): 103.78 103.78 121.57
Positions (direct):
1 Ba 0.0000 0.0000 0.0000
2 Na 0.2500 0.7500 0.5000
3 Na 0.7500 0.2500 0.5000
4 Pb 0.3055 0.3055 0.6110
5 Pb 0.3055 0.6945 0.0000
6 Pb 0.6945 0.3055 0.0000
7 Pb 0.6945 0.6945 0.3890

Calculated powder diffraction line list of Ba5Sn2Sb for λ = 1.5418 Å (Cu Kα), from the PBE geometry in Alexandria.
Lines closer than 0.1° are merged.

Most intense lines, 10 to 80 degrees two-theta, low angle first:
2θ (°)  intensity
27.11  100.0
27.54  16.5
29.07  45.6
30.87  48.8
32.43  11.5
43.93  13.8
47.50  15.2
54.48  12.6
55.78  15.2
56.85  13.9

Crystal structure
a b c (Å): 10.5132 10.5132 10.5132
angles (deg): 128.35 128.35 76.06
Positions (direct):
1 Ba 0.0000 0.0000 0.0000
2 Ba 0.0276 0.5276 0.8465
3 Ba 0.1811 0.0276 0.5000
4 Ba 0.3189 0.8189 0.8465
5 Ba 0.4724 0.3189 0.5000
6 Ba 0.5000 0.5000 0.0000
7 Ba 0.5276 0.6811 0.5000
8 Ba 0.6811 0.1811 0.1535
9 Ba 0.8189 0.9724 0.5000
10 Ba 0.9724 0.4724 0.1535
11 Sn 0.1169 0.3831 0.5000
12 Sn 0.3831 0.8831 0.2662
13 Sn 0.6169 0.1169 0.7338
14 Sn 0.8831 0.6169 0.5000
15 Sb 0.2500 0.2500 0.0000
16 Sb 0.7500 0.7500 0.0000

Calculated powder diffraction line list of Eu2Al3O8 for λ = 1.5418 Å (Cu Kα), from the PBE geometry in Alexandria.
Lines closer than 0.1° are merged.

Most intense lines, 10 to 80 degrees two-theta, low angle first:
2θ (°)  intensity
13.95  31.5
24.29  100.0
31.52  62.4
37.49  21.2
40.19  15.8
42.74  43.8
51.95  14.5
56.13  28.4
58.14  18.2
60.11  17.4

Crystal structure
a b c (Å): 7.7726 7.7726 7.7726
angles (deg): 109.47 109.47 109.47
Positions (direct):
1 Eu 0.0000 0.0000 0.2951
2 Eu 0.0000 0.2951 0.0000
3 Eu 0.2951 0.0000 0.0000
4 Eu 0.7049 0.7049 0.7049
5 Al 0.2500 0.5000 0.7500
6 Al 0.2500 0.7500 0.5000
7 Al 0.5000 0.2500 0.7500
8 Al 0.5000 0.7500 0.2500
9 Al 0.7500 0.2500 0.5000
10 Al 0.7500 0.5000 0.2500
11 O 0.0000 0.0000 0.7909
12 O 0.0000 0.2750 0.5534
13 O 0.0000 0.5534 0.2750
14 O 0.0000 0.7909 0.0000
15 O 0.2091 0.2091 0.2091
16 O 0.2750 0.0000 0.5534
17 O 0.2750 0.5534 0.0000
18 O 0.2784 0.7250 0.7250
19 O 0.4466 0.4466 0.7216
20 O 0.4466 0.7216 0.4466
21 O 0.5534 0.0000 0.2750
22 O 0.5534 0.2750 0.0000
23 O 0.7216 0.4466 0.4466
24 O 0.7250 0.2784 0.7250
25 O 0.7250 0.7250 0.2784
26 O 0.7909 0.0000 0.0000